(1)
Calculated X-ray diffraction stick pattern
Compound: CaCuAs2S4
Radiation: CuKα
Structure: the PBE geometry in Alexandria

Largest 10 diffraction maxima, sorted by position, 2θ from 15° to 90°:
d (Å)  2θ/deg  intensity
4.948  17.93  13
3.199  27.89  21
3.093  28.87  39
2.835  31.56  100
2.534  35.43  43
2.062  43.91  23
1.889  48.17  54
1.716  53.40  14
1.666  55.12  21
1.599  57.64  20

Structural model:
Cell: 8.2482 10.1353 7.8076 Å, 90.00 90.00 90.00°
Space group Fmm2 (No. 42)
One atom of each set of equivalent atoms:
Ca: 0.0000 0.0000 0.0000 x4
Cu: 0.0000 0.0000 0.5673 x4
As: 0.2500 0.2500 0.2725 x8
S: 0.0000 0.2234 0.4440 x8
S: 0.2306 0.0000 0.7311 x8

(2)
Calculated X-ray diffraction stick pattern
Compound: CaCuAs2Se4
Radiation: CuKα
Structure: the PBE geometry in Alexandria

Largest 10 diffraction maxima, sorted by position, 2θ from 15° to 90°:
d (Å)  2θ/deg  intensity
5.156  17.20  9
3.280  27.19  20
2.932  30.49  100
2.706  33.10  44
2.085  43.40  22
2.061  43.92  10
1.989  45.62  57
1.749  52.31  18
1.652  55.64  20
1.184  81.22  10

Structural model:
Cell: 8.3399 10.8257 8.2459 Å, 90.00 90.00 90.00°
Space group Fmm2 (No. 42)
One atom of each set of equivalent atoms:
Ca: 0.0000 0.0000 0.0000 x4
Cu: 0.0000 0.0000 0.5789 x4
As: 0.2500 0.2500 0.2840 x8
Se: 0.0000 0.2243 0.4713 x8
Se: 0.2401 0.0000 0.7432 x8

(3)
Calculated X-ray diffraction stick pattern
Compound: Sr2CaCuAs
Radiation: CuKα
Structure: the PBE geometry in Alexandria

Largest 10 diffraction maxima, sorted by position, 2θ from 15° to 90°:
d (Å)  2θ/deg  intensity
3.282  27.17  100
3.180  28.06  79
2.401  37.45  18
2.248  40.10  30
1.916  47.45  36
1.855  49.11  39
1.641  56.03  21
1.422  65.66  13
1.252  75.98  11
1.224  78.11  16

Structural model:
Cell: 6.3597 6.3597 4.8023 Å, 90.00 90.00 90.00°
Space group P4/mmm (No. 123)
One atom of each set of equivalent atoms:
Sr: 0.0000 0.5000 0.0000 x2
Ca: 0.0000 0.0000 0.0000 x1
Cu: 0.0000 0.0000 0.5000 x1
As: 0.5000 0.5000 0.5000 x1